Diffraction record for MnTlI3. The powder X-ray diffraction pattern is calculated, not measured: it uses a DFT-relaxed cell (GGA-PBE, Alexandria) and λ = 1.5418 Å (Cu Kα).
Peak positions follow from Bragg's law for the DFT cell and can differ from measured ones.

Peak list (8 most intense, 10 to 80 degrees two-theta, low angle first)
d [Å], 2θ (°), Rel. int.
4.748, 18.69, 33
4.120, 21.57, 70
3.418, 26.07, 100
3.379, 26.38, 34
3.268, 27.29, 57
2.417, 37.20, 38
2.376, 37.87, 38
2.348, 38.33, 59

Atomic structure:
```
MnTlI3
1.0
7.910 -7.245 0.000
7.910 7.245 0.000
-1.806 0.000 7.995
Mn Tl I
4 4 12
direct
0.123 0.293 0.271
0.293 0.123 0.771
0.707 0.877 0.229
0.877 0.707 0.729
0.205 0.795 0.250
0.397 0.603 0.750
0.603 0.397 0.250
0.795 0.205 0.750
0.087 0.203 0.557
0.101 0.615 0.864
0.203 0.087 0.057
0.286 0.476 0.335
0.385 0.899 0.636
0.476 0.286 0.835
0.524 0.714 0.165
0.615 0.101 0.364
0.714 0.524 0.665
0.797 0.913 0.943
0.899 0.385 0.136
0.913 0.797 0.443
```